Entry 1:
This entry pairs a crystal structure of LiTi2Zn2P2O10 with its computed PXRD pattern. Radiation: Cu Kα. Structure: a crystal structure in the Materials Project, relaxed with GGA-PBE.
Peak positions follow from Bragg's law for the DFT cell and can differ from measured ones.

Lattice parameters (Å, degrees): 5.486 5.565 7.419 107.00 109.45 92.32
Positions (direct):
Li 0.000 0.000 0.000
Ti 0.500 0.000 0.000
Ti 0.500 0.000 0.500
Zn 0.343 0.425 0.266
Zn 0.657 0.575 0.734
P 0.148 0.395 0.769
P 0.852 0.605 0.231
O 0.150 0.697 0.363
O 0.181 0.687 0.860
O 0.224 0.265 0.937
O 0.325 0.318 0.640
O 0.391 0.081 0.245
O 0.609 0.919 0.755
O 0.675 0.682 0.360
O 0.776 0.735 0.063
O 0.819 0.313 0.140
O 0.850 0.303 0.637

Principal peaks in the range 2θ = 10–80°, in order of rising 2θ:
hkl 0 1 0, 2θ = 16.9°, I = 26; hkl 1 0 0, 2θ = 17.3°, I = 57; hkl 1 1 0, 2θ = 26.1°, I = 41; hkl 0 1 -2, 2θ = 26.8°, I = 100; hkl 2 0 -1, 2θ = 32.7°, I = 31; hkl 1 -2 0, 2θ = 35.9°, I = 39; hkl 0 1 2, 2θ = 36.5°, I = 32; hkl 2 1 0, 2θ = 41.6°, I = 29

=====

Entry 2:
This entry pairs a crystal structure of Eu2CuH4S2O12 with its computed PXRD pattern. Radiation: Cu Kα. Structure: a crystal structure in the Materials Project, relaxed with GGA-PBE.
Peak positions follow from Bragg's law for the DFT cell and can differ from measured ones.

Lattice parameters (Å, degrees): 6.462 6.989 10.945 90.00 98.36 90.00
Positions (direct):
Eu 0.083 0.012 0.325
Eu 0.083 0.488 0.825
Eu 0.917 0.512 0.175
Eu 0.917 0.988 0.675
Cu 0.000 0.000 0.000
Cu 0.000 0.500 0.500
H 0.244 0.698 0.618
H 0.244 0.802 0.118
H 0.273 0.606 0.396
H 0.273 0.894 0.896
H 0.727 0.106 0.104
H 0.727 0.394 0.604
H 0.756 0.198 0.882
H 0.756 0.302 0.382
S 0.359 0.173 0.631
S 0.359 0.327 0.131
S 0.641 0.673 0.869
S 0.641 0.827 0.369
O 0.100 0.670 0.630
O 0.100 0.830 0.130
O 0.125 0.644 0.383
O 0.125 0.856 0.883
O 0.203 0.055 0.545
O 0.203 0.445 0.045
O 0.251 0.197 0.743
O 0.251 0.303 0.243
O 0.398 0.144 0.074
O 0.398 0.356 0.574
O 0.449 0.561 0.836
O 0.449 0.939 0.336
O 0.551 0.061 0.664
O 0.551 0.439 0.164
O 0.602 0.644 0.426
O 0.602 0.856 0.926
O 0.749 0.697 0.757
O 0.749 0.803 0.257
O 0.797 0.555 0.955
O 0.797 0.945 0.455
O 0.875 0.144 0.117
O 0.875 0.356 0.617
O 0.900 0.170 0.870
O 0.900 0.330 0.370

Principal peaks in the range 2θ = 10–80°, in order of rising 2θ:
hkl 1 0 0, 2θ = 13.9°, I = 100; hkl 0 2 0, 2θ = 25.5°, I = 30; hkl 0 1 3, 2θ = 27.8°, I = 78; hkl 1 2 0, 2θ = 29.1°, I = 45; hkl 2 1 -1, 2θ = 30.8°, I = 27; hkl 1 1 3, 2θ = 32.8°, I = 28; hkl 3 1 -1, 2θ = 44.1°, I = 28; hkl 0 2 6, 2θ = 57.4°, I = 23

=====

Entry 3:
This entry pairs a crystal structure of BaMgSbF7 with its computed PXRD pattern. Radiation: Cu Kα. Structure: a crystal structure in the Materials Project, relaxed with GGA-PBE.
Peak positions follow from Bragg's law for the DFT cell and can differ from measured ones.

Lattice parameters (Å, degrees): 5.824 10.725 9.973 90.00 95.24 90.00
Positions (direct):
Ba 0.236 0.160 0.024
Ba 0.236 0.340 0.524
Ba 0.764 0.660 0.476
Ba 0.764 0.840 0.976
Mg 0.198 0.634 0.803
Mg 0.198 0.866 0.303
Mg 0.802 0.134 0.697
Mg 0.802 0.366 0.197
Sb 0.294 0.589 0.156
Sb 0.294 0.911 0.656
Sb 0.706 0.089 0.344
Sb 0.706 0.411 0.844
F 0.026 0.711 0.230
F 0.026 0.789 0.730
F 0.079 0.116 0.598
F 0.079 0.384 0.098
F 0.095 0.550 0.635
F 0.095 0.950 0.135
F 0.350 0.708 0.976
F 0.350 0.792 0.476
F 0.367 0.024 0.363
F 0.367 0.476 0.863
F 0.388 0.533 0.356
F 0.388 0.967 0.856
F 0.466 0.748 0.729
F 0.466 0.752 0.229
F 0.534 0.248 0.771
F 0.534 0.252 0.271
F 0.612 0.033 0.144
F 0.612 0.467 0.644
F 0.633 0.524 0.137
F 0.633 0.976 0.637
F 0.650 0.208 0.524
F 0.650 0.292 0.024
F 0.905 0.050 0.865
F 0.905 0.450 0.365
F 0.921 0.616 0.902
F 0.921 0.884 0.402
F 0.974 0.211 0.270
F 0.974 0.289 0.770

Principal peaks in the range 2θ = 10–80°, in order of rising 2θ:
hkl 0 2 1, 2θ = 18.8°, I = 24; hkl 1 0 -2, 2θ = 22.5°, I = 23; hkl 1 2 -1, 2θ = 23.8°, I = 100; hkl 1 1 -2, 2θ = 24.0°, I = 26; hkl 1 2 1, 2θ = 24.8°, I = 30; hkl 1 1 2, 2θ = 26.0°, I = 44; hkl 0 1 3, 2θ = 28.2°, I = 36; hkl 2 0 0, 2θ = 30.8°, I = 31